The following is a theoretical powder X-ray diffraction pattern of Ba2NiAuO4. It was derived from a cell relaxed with GGA+U, using Cu Kα, 1.54184 Å.
Neutral-atom scattering factors, no anomalous dispersion.

Lattice parameters (Å, degrees): 6.2706 6.2706 6.6719 90.00 90.00 90.00
Space group I-4 (No. 82)
One atom of each set of equivalent atoms:
Ba: 0.0000 0.0000 0.0000 (multiplicity 2)
Ba: 0.0000 0.5000 0.2500 (multiplicity 2)
Ni: 0.0000 0.5000 0.7500 (multiplicity 2)
Au: 0.0000 0.0000 0.5000 (multiplicity 2)
O: 0.1740 0.2601 0.6943 (multiplicity 8)

The 10 most intense peaks (2θ from 10° to 90°), by angle:
- hkl 2 0 0, 2θ = 28.5°, I 61
- hkl 1 1 2, 2θ = 33.6°, I 100
- hkl 2 2 0, 2θ = 40.7°, I 33
- hkl 3 1 2, 2θ = 53.8°, I 51
- hkl 4 0 0, 2θ = 58.9°, I 10
- hkl 2 0 4, 2θ = 63.1°, I 15
- hkl 4 2 0, 2θ = 66.7°, I 13
- hkl 3 3 2, 2θ = 69.6°, I 12
- hkl 2 2 4, 2θ = 70.7°, I 12
- hkl 1 5 2, 2θ = 83.8°, I 15